(1)
For CeNdS2, DFT lattice parameters and positions (GGA-PBE) gives the theoretical powder diffractogram in this record (copper Kα).
Peak positions follow from Bragg's law for the DFT cell and can differ from measured ones.

Main lines, in order of falling intensity (10° ≤ 2θ ≤ 90°):
2θ 31.1, I = 100
2θ 26.9, I = 54
2θ 44.4, I = 36
2θ 44.6, I = 36
2θ 52.8, I = 27
2θ 55.4, I = 19
2θ 26.7, I = 18
2θ 73.4, I = 16
2θ 73.8, I = 16
2θ 82.1, I = 12
2θ 64.8, I = 12
2θ 52.6, I = 9

Structural model:
```
CeNdS2
1.0
2.0303 1.1722 6.6778
-2.0303 1.1722 6.6778
0.0000 -2.3444 6.6778
Ce Nd S
1 1 2
direct
0.0000 0.0000 0.0000
0.5000 0.5000 0.5000
0.2509 0.2509 0.2509
0.7491 0.7491 0.7491
```


(2)
For AgPdO2, DFT lattice parameters and positions (GGA-PBE) gives the theoretical powder diffractogram in this record (copper Kα).
Peak positions follow from Bragg's law for the DFT cell and can differ from measured ones.

Main lines, in order of falling intensity (10° ≤ 2θ ≤ 90°):
2θ 32.9, I = 100
2θ 32.1, I = 95
2θ 31.3, I = 92
2θ 33.2, I = 61
2θ 40.1, I = 38
2θ 33.0, I = 36
2θ 29.0, I = 36
2θ 43.2, I = 29
2θ 33.4, I = 27
2θ 44.4, I = 24
2θ 41.0, I = 22
2θ 57.2, I = 21

Structural model:
```
AgPdO2
1.0
6.2963 0.0000 0.0000
0.0000 3.0801 0.0000
-2.9973 0.0000 5.7134
Ag Pd O
2 2 4
direct
0.0000 0.0000 0.0000
0.0000 0.0000 0.5000
0.5000 0.0000 0.0000
0.5000 0.5000 0.5000
0.2601 0.0000 0.3606
0.4054 0.5000 0.7659
0.5946 0.5000 0.2341
0.7399 0.0000 0.6394
```


(3)
For In2BP3O12, DFT lattice parameters and positions (GGA-PBE) gives the theoretical powder diffractogram in this record (copper Kα).
Peak positions follow from Bragg's law for the DFT cell and can differ from measured ones.

Main lines, in order of falling intensity (10° ≤ 2θ ≤ 90°):
2θ 12.3, I = 100
2θ 31.3, I = 98
2θ 21.4, I = 97
2θ 24.2, I = 63
2θ 25.7, I = 61
2θ 37.5, I = 42
2θ 49.6, I = 37
2θ 48.1, I = 35
2θ 42.6, I = 32
2θ 33.7, I = 31
2θ 58.0, I = 28
2θ 24.8, I = 28

Structural model:
```
In2BP3O12
1.0
8.3028 0.0000 0.0000
-4.1514 7.1904 0.0000
0.0000 0.0000 7.8985
In B P O
4 2 6 24
direct
0.3333 0.6667 0.0440
0.3333 0.6667 0.4560
0.6667 0.3333 0.5440
0.6667 0.3333 0.9560
0.0000 0.0000 0.2500
0.0000 0.0000 0.7500
0.0419 0.3506 0.7500
0.3087 0.9581 0.7500
0.3506 0.3087 0.2500
0.6494 0.6913 0.7500
0.6913 0.0419 0.2500
0.9581 0.6494 0.2500
0.0593 0.8726 0.2500
0.1248 0.6122 0.2500
0.1274 0.1867 0.2500
0.1531 0.4196 0.5872
0.1531 0.4196 0.9128
0.1867 0.0593 0.7500
0.2664 0.8469 0.5872
0.2664 0.8469 0.9128
0.3878 0.5126 0.2500
0.4196 0.2664 0.0872
0.4196 0.2664 0.4128
0.4874 0.8752 0.2500
0.5126 0.1248 0.7500
0.5804 0.7336 0.5872
0.5804 0.7336 0.9128
0.6122 0.4874 0.7500
0.7336 0.1531 0.0872
0.7336 0.1531 0.4128
0.8133 0.9407 0.2500
0.8469 0.5804 0.0872
0.8469 0.5804 0.4128
0.8726 0.8133 0.7500
0.8752 0.3878 0.7500
0.9407 0.1274 0.7500
```


(4)
For FeCu5S4, DFT lattice parameters and positions (GGA-PBE) gives the theoretical powder diffractogram in this record (copper Kα).
Peak positions follow from Bragg's law for the DFT cell and can differ from measured ones.

Main lines, in order of falling intensity (10° ≤ 2θ ≤ 90°):
2θ 46.9, I = 100
2θ 47.6, I = 67
2θ 28.6, I = 57
2θ 33.0, I = 50
2θ 47.8, I = 33
2θ 13.9, I = 33
2θ 35.9, I = 29
2θ 27.4, I = 26
2θ 32.8, I = 26
2θ 69.2, I = 19
2θ 88.5, I = 15
2θ 28.0, I = 14

Structural model:
```
FeCu5S4
1.0
6.6290 0.0000 0.0000
0.0000 3.8063 0.0000
-2.2387 0.0000 6.3768
Fe Cu S
1 5 4
direct
0.0000 0.0000 0.0000
0.0033 0.5000 0.5247
0.2585 0.5000 0.2529
0.4987 0.5000 0.9807
0.5206 0.0000 0.5264
0.7451 0.0000 0.2431
0.1253 0.0000 0.3720
0.1291 0.5000 0.8781
0.6299 0.5000 0.3812
0.6350 0.0000 0.8773
```